Diffraction record for K4MgV2Cu2S8. The powder X-ray diffraction pattern is theoretical, not measured: it uses a DFT-relaxed cell (PBE, the Materials Project) and Cu Kα.
Lines closer than 0.1° are merged.

Structure:
```
data_K4MgV2Cu2S8
_space_group_name_H-M_alt 'C 1 2 1'
_space_group_IT_number 5
_space_group_name_Hall 'C 2y'
_cell_length_a 5.5843
_cell_length_b 23.0983
_cell_length_c 7.0343
_cell_angle_alpha 90.00
_cell_angle_beta 111.45
_cell_angle_gamma 90.00
loop_
_atom_site_label
_atom_site_type_symbol
_atom_site_fract_x
_atom_site_fract_y
_atom_site_fract_z
K1 K 0.0000 0.0000 0.0000
K2 K 0.0000 0.1300 0.5000
K3 K 0.0000 0.3750 0.0000
K4 K 0.0000 0.7716 0.5000
Mg1 Mg 0.0000 0.5747 0.0000
V1 V 0.0000 0.1998 0.0000
V2 V 0.0000 0.9501 0.5000
Cu1 Cu 0.0000 0.4520 0.5000
Cu2 Cu 0.0000 0.7019 0.0000
S1 S 0.1375 0.2518 0.8001
S2 S 0.1500 0.8965 0.3119
S3 S 0.1740 0.5066 0.2925
S4 S 0.1782 0.6395 0.8131
```

The 10 most intense peaks (2θ from 10° to 90°), sorted by position:
- 2θ 15.34, d = 5.775 Å, intensity 76
- 2θ 15.56, d = 5.696 Å, intensity 100
- 2θ 26.87, d = 3.319 Å, intensity 67
- 2θ 28.03, d = 3.183 Å, intensity 54
- 2θ 28.82, d = 3.098 Å, intensity 38
- 2θ 32.11, d = 2.788 Å, intensity 26
- 2θ 32.81, d = 2.730 Å, intensity 29
- 2θ 39.90, d = 2.259 Å, intensity 52
- 2θ 47.92, d = 1.899 Å, intensity 27
- 2θ 51.35, d = 1.779 Å, intensity 28